# K2ZnCuF6
Theoretical powder diffraction line list, Cu Kα, 1.54184 Å. Input: a crystal structure in Alexandria, relaxed with PBE.

Peak list (12 most intense, 10° ≤ 2θ ≤ 80°, in order of rising 2θ)
Position (°2θ)  Rel. int.
21.62  35.4
21.76  17.5
30.76  50.5
30.86  100.0
44.05  60.6
44.36  29.5
49.61  15.2
54.75  37.0
54.95  18.2
64.06  16.7
64.30  32.9
72.76  15.2

Cell and atoms:
Cell: 4.1113 4.1113 8.1679 Å, 90.00 90.00 90.00°
Sites, in units of the cell vectors:
K1 0.0000 0.0000 0.2453
K2 0.0000 0.0000 0.7547
Zn1 0.5000 0.5000 0.5000
Cu1 0.5000 0.5000 0.0000
F1 0.0000 0.5000 0.0000
F2 0.0000 0.5000 0.5000
F3 0.5000 0.0000 0.0000
F4 0.5000 0.0000 0.5000
F5 0.5000 0.5000 0.2472
F6 0.5000 0.5000 0.7528

***

# KZrCuF7
Theoretical powder diffraction line list, Cu Kα, 1.54184 Å. Input: a crystal structure in Alexandria, relaxed with PBE.

Peak list (12 most intense, 10° ≤ 2θ ≤ 80°, in order of rising 2θ)
Position (°2θ)  Rel. int.
16.22  26.9
17.39  48.7
20.72  100.0
26.43  75.8
27.18  55.5
27.56  81.1
29.68  76.0
42.17  49.5
50.06  30.1
51.59  35.1
52.41  43.4
67.47  28.2

Cell and atoms:
Cell: 7.7642 7.7642 10.2006 Å, 90.00 90.00 112.99°
Sites, in units of the cell vectors:
K1 0.1372 0.3419 0.2500
K2 0.3419 0.1372 0.7500
K3 0.6581 0.8628 0.2500
K4 0.8628 0.6581 0.7500
Zr1 0.3660 0.6340 0.5686
Zr2 0.3660 0.6340 0.9314
Zr3 0.6340 0.3660 0.0686
Zr4 0.6340 0.3660 0.4314
Cu1 0.1350 0.8650 0.0718
Cu2 0.1350 0.8650 0.4282
Cu3 0.8650 0.1350 0.5718
Cu4 0.8650 0.1350 0.9282
F1 0.0000 0.0000 0.0000
F2 0.0000 0.0000 0.5000
F3 0.0787 0.9213 0.2500
F4 0.1464 0.3995 0.5124
F5 0.1464 0.3995 0.9876
F6 0.2035 0.7965 0.6078
F7 0.2035 0.7965 0.8922
F8 0.2236 0.5006 0.7500
F9 0.2773 0.7227 0.1160
F10 0.2773 0.7227 0.3840
F11 0.3995 0.1464 0.0124
F12 0.3995 0.1464 0.4876
F13 0.4750 0.5250 0.1142
F14 0.4750 0.5250 0.3858
F15 0.4994 0.7764 0.7500
F16 0.5006 0.2236 0.2500
F17 0.5250 0.4750 0.6142
F18 0.5250 0.4750 0.8858
F19 0.6005 0.8536 0.5124
F20 0.6005 0.8536 0.9876
F21 0.7227 0.2773 0.6160
F22 0.7227 0.2773 0.8840
F23 0.7764 0.4994 0.2500
F24 0.7965 0.2035 0.1078
F25 0.7965 0.2035 0.3922
F26 0.8536 0.6005 0.0124
F27 0.8536 0.6005 0.4876
F28 0.9213 0.0787 0.7500

***

# La2CuF8
Theoretical powder diffraction line list, Cu Kα, 1.54184 Å. Input: a crystal structure in Alexandria, relaxed with PBE.

Peak list (12 most intense, 10° ≤ 2θ ≤ 80°, in order of rising 2θ)
Position (°2θ)  Rel. int.
16.62  100.0
20.74  91.6
22.18  41.8
26.31  63.0
26.58  32.5
26.71  86.3
28.30  37.6
28.94  39.7
29.16  39.5
31.54  52.1
41.73  52.8
45.66  37.0

Cell and atoms:
Cell: 3.8975 5.4587 8.2481 Å, 83.01 77.19 78.60°
Sites, in units of the cell vectors:
La1 0.1293 0.0683 0.2207
La2 0.8707 0.9317 0.7793
Cu1 0.5000 0.5000 0.5000
F1 0.0961 0.7615 0.4853
F2 0.3028 0.8204 0.9881
F3 0.3202 0.1756 0.7361
F4 0.4982 0.6562 0.6992
F5 0.5018 0.3438 0.3008
F6 0.6798 0.8244 0.2639
F7 0.6972 0.1796 0.0119
F8 0.9039 0.2385 0.5147

***

# Li2CuF4
Theoretical powder diffraction line list, Cu Kα, 1.54184 Å. Input: a crystal structure in Alexandria, relaxed with PBE.

Peak list (12 most intense, 10° ≤ 2θ ≤ 80°, in order of rising 2θ)
Position (°2θ)  Rel. int.
17.54  80.0
18.71  90.6
22.05  100.0
23.06  70.7
26.65  46.5
29.02  21.9
29.12  63.9
35.38  28.9
35.56  27.9
40.51  77.6
47.10  17.3
52.81  19.4

Cell and atoms:
Cell: 8.4570 8.4570 8.4570 Å, 104.35 104.35 104.35°
Sites, in units of the cell vectors:
Li1 0.1042 0.8488 0.2768
Li2 0.1512 0.7232 0.8958
Li3 0.1734 0.6170 0.4715
Li4 0.2768 0.1042 0.8488
Li5 0.3830 0.5285 0.8266
Li6 0.4715 0.1734 0.6170
Li7 0.5285 0.8266 0.3830
Li8 0.6170 0.4715 0.1734
Li9 0.7232 0.8958 0.1512
Li10 0.8266 0.3830 0.5285
Li11 0.8488 0.2768 0.1042
Li12 0.8958 0.1512 0.7232
Cu1 0.1341 0.1752 0.4813
Cu2 0.1752 0.4813 0.1341
Cu3 0.4813 0.1341 0.1752
Cu4 0.5187 0.8659 0.8248
Cu5 0.8248 0.5187 0.8659
Cu6 0.8659 0.8248 0.5187
F1 0.0066 0.7050 0.0463
F2 0.0165 0.7310 0.4251
F3 0.0463 0.0066 0.7050
F4 0.0779 0.3940 0.2916
F5 0.2690 0.5749 0.9835
F6 0.2916 0.0779 0.3940
F7 0.2950 0.9537 0.9934
F8 0.3031 0.6900 0.3301
F9 0.3100 0.6699 0.6969
F10 0.3301 0.3031 0.6900
F11 0.3940 0.2916 0.0779
F12 0.4251 0.0165 0.7310
F13 0.5749 0.9835 0.2690
F14 0.6060 0.7084 0.9221
F15 0.6699 0.6969 0.3100
F16 0.6900 0.3301 0.3031
F17 0.6969 0.3100 0.6699
F18 0.7050 0.0463 0.0066
F19 0.7084 0.9221 0.6060
F20 0.7310 0.4251 0.0165
F21 0.9221 0.6060 0.7084
F22 0.9537 0.9934 0.2950
F23 0.9835 0.2690 0.5749
F24 0.9934 0.2950 0.9537

***

# Li2Cu7F16
Theoretical powder diffraction line list, Cu Kα, 1.54184 Å. Input: a crystal structure in Alexandria, relaxed with PBE.

Peak list (12 most intense, 10° ≤ 2θ ≤ 80°, in order of rising 2θ)
Position (°2θ)  Rel. int.
11.21  54.6
23.35  31.7
25.33  38.7
27.02  100.0
27.16  92.4
29.50  20.5
33.40  50.2
34.08  19.9
41.11  15.8
50.69  22.9
50.88  17.7
51.48  22.2

Cell and atoms:
Cell: 5.9397 7.2165 8.4467 Å, 70.75 75.04 65.90°
Sites, in units of the cell vectors:
Li1 0.1107 0.2672 0.0268
Li2 0.8893 0.7328 0.9732
Cu1 0.0438 0.7692 0.2868
Cu2 0.2641 0.5794 0.6180
Cu3 0.3968 0.0632 0.3364
Cu4 0.5000 0.5000 0.0000
Cu5 0.6032 0.9368 0.6636
Cu6 0.7359 0.4206 0.3820
Cu7 0.9562 0.2308 0.7132
F1 0.0617 0.2749 0.4622
F2 0.1666 0.5341 0.8516
F3 0.1687 0.0119 0.2425
F4 0.1798 0.7191 0.0658
F5 0.2816 0.1576 0.7614
F6 0.3736 0.5814 0.3762
F7 0.3779 0.2812 0.1261
F8 0.3924 0.8606 0.5643
F9 0.6076 0.1394 0.4357
F10 0.6221 0.7188 0.8739
F11 0.6264 0.4186 0.6238
F12 0.7184 0.8424 0.2386
F13 0.8202 0.2809 0.9342
F14 0.8313 0.9881 0.7575
F15 0.8334 0.4659 0.1484
F16 0.9383 0.7251 0.5378

***

# Li2Cu3F8
Theoretical powder diffraction line list, Cu Kα, 1.54184 Å. Input: a crystal structure in Alexandria, relaxed with PBE.

Peak list (12 most intense, 10° ≤ 2θ ≤ 80°, in order of rising 2θ)
Position (°2θ)  Rel. int.
18.16  20.4
18.38  100.0
19.80  18.9
26.18  19.6
30.21  14.1
31.54  33.1
35.38  19.9
38.14  43.2
43.54  29.1
44.57  27.2
59.25  20.6
64.07  16.3

Cell and atoms:
Cell: 6.3796 8.3141 6.4953 Å, 90.00 111.70 90.00°
Sites, in units of the cell vectors:
Li1 0.2424 0.1093 0.3673
Li2 0.2424 0.3907 0.8673
Li3 0.7576 0.6093 0.1327
Li4 0.7576 0.8907 0.6327
Cu1 0.2281 0.7453 0.0972
Cu2 0.2281 0.7547 0.5972
Cu3 0.5000 0.0000 0.0000
Cu4 0.5000 0.5000 0.5000
Cu5 0.7719 0.2453 0.4028
Cu6 0.7719 0.2547 0.9028
F1 0.0147 0.7407 0.2371
F2 0.0147 0.7593 0.7371
F3 0.2616 0.5175 0.6179
F4 0.2616 0.9825 0.1179
F5 0.2718 0.5202 0.1150
F6 0.2718 0.9798 0.6150
F7 0.4967 0.2339 0.9847
F8 0.4967 0.2661 0.4847
F9 0.5033 0.7339 0.5153
F10 0.5033 0.7661 0.0153
F11 0.7282 0.0202 0.3850
F12 0.7282 0.4798 0.8850
F13 0.7384 0.0175 0.8821
F14 0.7384 0.4825 0.3821
F15 0.9853 0.2407 0.2629
F16 0.9853 0.2593 0.7629

***

# Li2Cu2F5
Theoretical powder diffraction line list, Cu Kα, 1.54184 Å. Input: a crystal structure in Alexandria, relaxed with PBE.

Peak list (12 most intense, 10° ≤ 2θ ≤ 80°, in order of rising 2θ)
Position (°2θ)  Rel. int.
15.61  100.0
15.81  9.8
31.19  24.7
31.53  16.3
31.92  27.6
33.62  79.5
35.15  55.4
43.45  16.4
48.09  15.4
55.53  18.0
61.18  11.5
64.19  13.7

Cell and atoms:
Cell: 9.4805 3.0297 14.0384 Å, 90.00 90.73 90.00°
Sites, in units of the cell vectors:
Li1 0.1193 0.2460 0.2955
Li2 0.1193 0.2540 0.7955
Li3 0.3261 0.7441 0.4228
Li4 0.3261 0.7559 0.9228
Li5 0.6739 0.2441 0.0772
Li6 0.6739 0.2559 0.5772
Li7 0.8807 0.7460 0.2045
Li8 0.8807 0.7540 0.7045
Cu1 0.1012 0.2465 0.5495
Cu2 0.1012 0.2535 0.0495
Cu3 0.4061 0.7425 0.1884
Cu4 0.4061 0.7575 0.6884
Cu5 0.5939 0.2425 0.3116
Cu6 0.5939 0.2575 0.8116
Cu7 0.8988 0.7465 0.9505
Cu8 0.8988 0.7535 0.4505
F1 0.0200 0.2486 0.1699
F2 0.0200 0.2514 0.6699
F3 0.1798 0.2445 0.4295
F4 0.1798 0.2555 0.9295
F5 0.2544 0.7444 0.5815
F6 0.2544 0.7556 0.0815
F7 0.2662 0.7433 0.2789
F8 0.2662 0.7567 0.7789
F9 0.4546 0.2431 0.4006
F10 0.4546 0.2569 0.9006
F11 0.5454 0.7431 0.0994
F12 0.5454 0.7569 0.5994
F13 0.7338 0.2433 0.2211
F14 0.7338 0.2567 0.7211
F15 0.7456 0.2444 0.9185
F16 0.7456 0.2556 0.4185
F17 0.8202 0.7445 0.0705
F18 0.8202 0.7555 0.5705
F19 0.9800 0.7486 0.3301
F20 0.9800 0.7514 0.8301

***

# Li4Cu3F10
Theoretical powder diffraction line list, Cu Kα, 1.54184 Å. Input: a crystal structure in Alexandria, relaxed with PBE.

Peak list (12 most intense, 10° ≤ 2θ ≤ 80°, in order of rising 2θ)
Position (°2θ)  Rel. int.
18.18  40.7
19.48  82.3
20.23  100.0
23.09  20.4
23.70  23.0
26.42  79.5
28.55  49.2
33.11  17.8
33.90  41.0
38.18  25.2
41.91  22.5
47.18  22.1

Cell and atoms:
Cell: 5.4843 5.5046 8.6191 Å, 76.90 87.35 65.56°
Sites, in units of the cell vectors:
Li1 0.1038 0.0340 0.3479
Li2 0.3819 0.9925 0.7220
Li3 0.6181 0.0075 0.2780
Li4 0.8962 0.9660 0.6521
Cu1 0.2017 0.6370 0.1333
Cu2 0.5000 0.5000 0.5000
Cu3 0.7983 0.3630 0.8667
F1 0.0000 0.0000 0.0000
F2 0.0195 0.2275 0.7038
F3 0.2615 0.2728 0.2403
F4 0.2643 0.8254 0.5686
F5 0.4816 0.7324 0.2984
F6 0.5000 0.5000 0.0000
F7 0.5184 0.2676 0.7016
F8 0.7356 0.1746 0.4314
F9 0.7385 0.7272 0.7597
F10 0.9805 0.7725 0.2962

***

# Li2Cu2F7
Theoretical powder diffraction line list, Cu Kα, 1.54184 Å. Input: a crystal structure in Alexandria, relaxed with PBE.

Peak list (12 most intense, 10° ≤ 2θ ≤ 80°, in order of rising 2θ)
Position (°2θ)  Rel. int.
11.71  26.1
15.03  87.9
17.37  100.0
20.68  39.3
23.55  41.0
30.27  29.3
30.45  26.2
30.55  20.7
33.92  33.6
35.34  17.5
53.27  18.6
53.62  17.2

Cell and atoms:
Cell: 6.1888 6.1888 8.8638 Å, 120.39 120.39 29.23°
Sites, in units of the cell vectors:
Li1 0.0000 0.0000 0.0000
Li2 0.5602 0.5602 0.3586
Cu1 0.2078 0.2078 0.7044
Cu2 0.7775 0.7775 0.1238
F1 0.1763 0.1763 0.4729
F2 0.2305 0.2305 0.9406
F3 0.3229 0.3229 0.2783
F4 0.5867 0.5867 0.6279
F5 0.6000 0.6000 0.0631
F6 0.8359 0.8359 0.7865
F7 0.9538 0.9538 0.1782

***

# Li2Cu2F5
Theoretical powder diffraction line list, Cu Kα, 1.54184 Å. Input: a crystal structure in Alexandria, relaxed with PBE.

Peak list (12 most intense, 10° ≤ 2θ ≤ 80°, in order of rising 2θ)
Position (°2θ)  Rel. int.
16.36  46.4
22.03  83.4
24.36  41.7
27.11  100.0
33.08  32.9
34.04  19.3
38.60  58.1
41.92  32.8
46.95  31.4
50.55  18.3
55.57  17.3
67.99  17.3

Cell and atoms:
Cell: 5.5869 5.5869 7.2897 Å, 103.02 103.02 92.45°
Sites, in units of the cell vectors:
Li1 0.2228 0.7608 0.9792
Li2 0.2392 0.7772 0.5208
Li3 0.7608 0.2228 0.4792
Li4 0.7772 0.2392 0.0208
Cu1 0.2942 0.3095 0.1171
Cu2 0.3095 0.2942 0.6171
Cu3 0.6905 0.7058 0.3829
Cu4 0.7058 0.6905 0.8829
F1 0.0000 0.0000 0.0000
F2 0.0000 0.0000 0.5000
F3 0.0000 0.5000 0.0000
F4 0.2235 0.4294 0.3778
F5 0.3336 0.6664 0.7500
F6 0.4294 0.2235 0.8778
F7 0.5000 0.0000 0.5000
F8 0.5706 0.7765 0.1222
F9 0.6664 0.3336 0.2500
F10 0.7765 0.5706 0.6222